No. 1
Theoretical powder X-ray diffraction pattern
Compound: Co2Ag2OsO6
Radiation: Cu Kα (λ = 1.5418 Å)
Structure: DFT lattice parameters and positions (PBE+U)

Peak list (10 most intense, 2θ = 10–90°, by intensity)
two_theta	I_rel	index
35.85	100	1 3 0
44.30	99	1 3 -2
29.64	92	0 0 2
25.34	78	0 2 1
22.67	73	1 1 -1
35.57	70	2 0 0
49.93	46	1 3 2
27.52	46	1 1 1
14.69	42	0 0 1
41.01	33	2 0 -2

Cell and atoms:
Unit cell a=5.188 b=8.654 c=6.195 alpha=90.00 beta=103.31 gamma=90.00
Space group C2/m (No. 12)
Unique sites:
Co  0.000  0.168  0.000 [4 per cell]
Ag  0.000  0.178  0.500 [4 per cell]
Os  0.000  0.500  0.000 [2 per cell]
O  0.114  0.000  0.831 [4 per cell]
O  0.129  0.329  0.833 [8 per cell]



No. 2
Theoretical powder X-ray diffraction pattern
Compound: Co3Ag2P4O14
Radiation: Cu Kα (λ = 1.5418 Å)
Structure: DFT lattice parameters and positions (PBE+U)

Peak list (10 most intense, 2θ = 10–90°, by intensity)
two_theta	I_rel	index
30.47	100	1 0 5
29.50	75	1 0 -4
30.23	36	0 2 -1
33.39	30	1 2 4
36.49	30	1 1 -5
34.14	27	2 1 0
29.11	27	0 2 0
30.66	24	-1 1 3
33.61	20	2 1 1
29.90	19	0 2 2

Cell and atoms:
Unit cell a=5.378 b=6.460 c=16.797 alpha=81.11 beta=80.83 gamma=72.92
Space group P-1 (No. 2)
Unique sites:
Co  0.034  0.141  0.297 [2 per cell]
Co  0.207  0.782  0.089 [2 per cell]
Co  0.231  0.456  0.844 [2 per cell]
Ag  0.107  0.771  0.478 [2 per cell]
Ag  0.393  0.238  0.626 [2 per cell]
P  0.181  0.606  0.277 [2 per cell]
P  0.298  0.281  0.042 [2 per cell]
P  0.361  0.922  0.827 [2 per cell]
P  0.426  0.264  0.409 [2 per cell]
O  0.014  0.523  0.728 [2 per cell]
O  0.040  0.812  0.320 [2 per cell]
O  0.123  0.487  0.081 [2 per cell]
O  0.166  0.100  0.053 [2 per cell]
O  0.173  0.147  0.845 [2 per cell]
O  0.213  0.782  0.798 [2 per cell]
O  0.276  0.108  0.391 [2 per cell]
O  0.276  0.834  0.597 [2 per cell]
O  0.301  0.367  0.488 [2 per cell]
O  0.354  0.643  0.198 [2 per cell]
O  0.392  0.058  0.226 [2 per cell]
O  0.396  0.464  0.336 [2 per cell]
O  0.409  0.340  0.954 [2 per cell]
O  0.435  0.797  0.915 [2 per cell]



No. 3
Theoretical powder X-ray diffraction pattern
Compound: CoAgPO2
Radiation: Cu Kα (λ = 1.5418 Å)
Structure: DFT lattice parameters and positions (PBE+U)

Peak list (10 most intense, 2θ = 10–90°, by intensity)
two_theta	I_rel	index
30.23	100	1 0 1
35.14	48	1 1 0
34.85	47	0 0 2
50.33	34	1 1 2
50.54	30	2 0 0
39.38	30	1 1 1
62.86	29	2 0 2
60.02	26	2 1 1
59.65	13	1 0 3
84.73	12	2 2 2

Cell and atoms:
Unit cell a=3.612 b=3.612 c=5.148 alpha=90.00 beta=90.00 gamma=90.00
Space group P4/mmm (No. 123)
Unique sites:
Co  0.000  0.000  0.000 [1 per cell]
Ag  0.500  0.500  0.500 [1 per cell]
P  0.000  0.000  0.500 [1 per cell]
O  0.000  0.500  0.000 [2 per cell]



No. 4
Theoretical powder X-ray diffraction pattern
Compound: PaCoAgO4
Radiation: Cu Kα (λ = 1.5418 Å)
Structure: DFT lattice parameters and positions (PBE+U)

Peak list (10 most intense, 2θ = 10–90°, by intensity)
two_theta	I_rel	index
30.47	100	1 2 1
17.32	87	1 0 1
32.70	62	1 0 3
31.72	51	0 2 2
56.21	33	2 2 4
28.94	30	2 0 0
43.47	29	2 2 2
52.25	27	3 2 1
33.09	25	2 1 1
61.94	23	1 4 3

Cell and atoms:
Unit cell a=6.171 b=7.159 c=9.168 alpha=90.00 beta=90.00 gamma=90.00
Space group Imma (No. 74)
Unique sites:
Pa  0.000  0.000  0.000 [4 per cell]
Co  0.250  0.250  0.250 [4 per cell]
Ag  0.000  0.250  0.673 [4 per cell]
O  0.000  0.049  0.232 [8 per cell]
O  0.216  0.250  0.007 [8 per cell]



No. 5
Theoretical powder X-ray diffraction pattern
Compound: PuCoAgO6
Radiation: Cu Kα (λ = 1.5418 Å)
Structure: DFT lattice parameters and positions (PBE+U)

Peak list (10 most intense, 2θ = 10–90°, by intensity)
two_theta	I_rel	index
26.99	100	1 0 2
51.37	49	1 1 4
34.90	48	1 1 0
21.91	47	1 0 1
18.00	26	0 0 2
44.67	24	2 0 2
57.91	23	2 1 2
39.54	19	1 1 2
33.91	18	1 0 3
62.59	15	3 0 0

Cell and atoms:
Unit cell a=5.1409 b=5.1409 c=9.8548 alpha=90.00 beta=90.00 gamma=120.00
Space group P-31c (No. 163)
Unique sites:
Pu  0.3333  0.6667  0.2500 [2 per cell]
Co  0.3333  0.6667  0.7500 [2 per cell]
Ag  0.0000  0.0000  0.0000 [2 per cell]
O  0.0151  0.3690  0.6410 [12 per cell]



No. 6
Theoretical powder X-ray diffraction pattern
Compound: Co2Ag3SbO6
Radiation: Cu Kα (λ = 1.5418 Å)
Structure: DFT lattice parameters and positions (PBE+U)

Peak list (10 most intense, 2θ = 10–90°, by intensity)
two_theta	I_rel	index
34.21	100	1 1 2
38.08	49	2 -1 4
28.28	44	0 0 6
51.10	36	1 1 8
58.62	24	3 0 0
66.34	22	3 0 6
59.43	22	2 -1 10
69.66	11	4 -2 2
87.53	10	3 0 12
33.18	9	2 -1 1

Cell and atoms:
Unit cell a=5.4552 b=5.4552 c=18.9326 alpha=90.00 beta=90.00 gamma=120.00
Space group P3_112 (No. 151)
Unique sites:
Co  0.1104  0.5552  0.0000 [3 per cell]
Co  0.1115  0.2230  0.6667 [3 per cell]
Ag  0.1025  0.5512  0.5000 [3 per cell]
Ag  0.1109  0.2219  0.1667 [3 per cell]
Ag  0.4532  0.2266  0.5000 [3 per cell]
Sb  0.4438  0.2219  0.0000 [3 per cell]
O  0.0977  0.2218  0.2785 [6 per cell]
O  0.0984  0.5418  0.3881 [6 per cell]
O  0.4578  0.2215  0.3880 [6 per cell]